This entry pairs a crystal structure of ErFeC6N6O4 with its simulated X-ray powder pattern. Radiation: copper Kα. Structure: a PBE+U-relaxed structure.
No peak broadening, texture or thermal motion is included.

Peak list (6 most intense, 10° ≤ 2θ ≤ 80°, most intense first)
d 4.623, 2θ 19.20, rel. 100, hkl 1 2 0; d 5.774, 2θ 15.35, rel. 81, hkl 1 1 0; d 4.672, 2θ 19.00, rel. 54, hkl 0 2 1; d 3.747, 2θ 23.75, rel. 49, hkl 1 0 1; d 5.870, 2θ 15.09, rel. 36, hkl 0 1 1; d 2.494, 2θ 36.01, rel. 34, hkl 1 4 1

Structural model:
```
data_ErFeC6N6O4
_chemical_formula_sum 'Er2 Fe2 C12 N12 O8'
_space_group_name_H-M_alt 'P 1 21/m 1'
_space_group_IT_number 11
_space_group_name_Hall '-P 2yb'
_cell_length_a 7.344
_cell_length_b 13.365
_cell_length_c 7.492
_cell_angle_alpha 90.00
_cell_angle_beta 119.29
_cell_angle_gamma 90.00
loop_
_atom_site_label
_atom_site_type_symbol
_atom_site_fract_x
_atom_site_fract_y
_atom_site_fract_z
Er1 Er 0.174 0.250 0.343
Fe1 Fe 0.500 0.000 0.000
C1 C 0.243 0.578 0.867
C2 C 0.388 0.088 0.764
C3 C 0.390 0.090 0.127
N1 N 0.097 0.631 0.792
N2 N 0.322 0.142 0.622
N3 N 0.323 0.143 0.205
O1 O 0.082 0.750 0.163
O2 O 0.097 0.750 0.442
O3 O 0.146 0.674 0.327
```



This entry pairs a crystal structure of LiFeF5 with its simulated X-ray powder pattern. Radiation: copper Kα. Structure: a PBE+U-relaxed structure.
No peak broadening, texture or thermal motion is included.

Peak list (6 most intense, 10° ≤ 2θ ≤ 80°, most intense first)
d 4.646, 2θ 19.10, rel. 100, hkl 2 1 1; d 3.238, 2θ 27.55, rel. 49, hkl 4 2 0; d 2.323, 2θ 38.77, rel. 31, hkl 4 2 2; d 5.119, 2θ 17.32, rel. 27, hkl 2 2 0; d 3.910, 2θ 22.74, rel. 21, hkl 3 0 1; d 7.240, 2θ 12.23, rel. 21, hkl 2 0 0

Structural model:
```
data_LiFeF5
_chemical_formula_sum 'Li16 Fe16 F80'
_space_group_name_H-M_alt 'I 41/a'
_space_group_IT_number 88
_cell_length_a 14.479
_cell_length_b 14.479
_cell_length_c 6.669
_cell_angle_alpha 90.00
_cell_angle_beta 90.00
_cell_angle_gamma 90.00
loop_
_space_group_symop_operation_xyz
'x,y,z'
'-x,-y,-z'
'-y+3/4,x+1/4,z+1/4'
'y+3/4,-x+1/4,-z+1/4'
'-x+1/2,-y,z+1/2'
'x+1/2,y,-z+1/2'
'y+3/4,-x+3/4,z+3/4'
'-y+3/4,x+3/4,-z+3/4'
'x+1/2,y+1/2,z+1/2'
'-x+1/2,-y+1/2,-z+1/2'
'-y+1/4,x+3/4,z+3/4'
'y+1/4,-x+3/4,-z+3/4'
'-x,-y+1/2,z'
'x,y+1/2,-z'
'y+1/4,-x+1/4,z+1/4'
'-y+1/4,x+1/4,-z+1/4'
loop_
_atom_site_label
_atom_site_type_symbol
_atom_site_fract_x
_atom_site_fract_y
_atom_site_fract_z
Li1 Li 0.088 0.120 0.278
Fe1 Fe 0.093 0.050 0.769
F1 F 0.019 0.009 0.279
F2 F 0.049 0.133 0.959
F3 F 0.079 0.136 0.577
F4 F 0.124 0.467 0.039
F5 F 0.152 0.476 0.426
```



This entry pairs a crystal structure of MgCo6O2F10 with its simulated X-ray powder pattern. Radiation: copper Kα. Structure: a PBE+U-relaxed structure.
No peak broadening, texture or thermal motion is included.

Peak list (6 most intense, 10° ≤ 2θ ≤ 80°, most intense first)
d 3.374, 2θ 26.41, rel. 100, hkl 1 -1 0; d 3.237, 2θ 27.55, rel. 78, hkl 1 1 0; d 2.347, 2θ 38.35, rel. 36, hkl 0 2 -1; d 2.587, 2θ 34.68, rel. 28, hkl 0 1 -4; d 2.570, 2θ 34.92, rel. 27, hkl 1 0 -4; d 2.828, 2θ 31.64, rel. 24, hkl 0 1 3

Structural model:
```
data_MgCo6O2F10
_chemical_formula_sum 'Mg1 Co6 O2 F10'
_space_group_name_H-M_alt 'P 1'
_space_group_IT_number 1
_space_group_name_Hall 'P 1'
_cell_length_a 4.682
_cell_length_b 4.716
_cell_length_c 11.665
_cell_angle_alpha 96.10
_cell_angle_beta 95.47
_cell_angle_gamma 91.80
loop_
_atom_site_label
_atom_site_type_symbol
_atom_site_fract_x
_atom_site_fract_y
_atom_site_fract_z
Mg1 Mg 0.000 0.000 0.000
Co1 Co 0.152 0.161 0.513
Co2 Co 0.211 0.229 0.787
Co3 Co 0.217 0.219 0.255
Co4 Co 0.561 0.561 0.070
Co5 Co 0.658 0.664 0.374
Co6 Co 0.730 0.744 0.642
O1 O 0.488 0.490 0.219
O2 O 0.863 0.872 0.509
F1 F 0.346 0.959 0.370
F2 F 0.394 0.987 0.672
F3 F 0.416 0.952 0.019
F4 F 0.455 0.468 0.522
F5 F 0.466 0.463 0.894
F6 F 0.935 0.940 0.832
F7 F 0.936 0.938 0.154
F8 F 0.953 0.350 0.371
F9 F 0.955 0.414 0.018
F10 F 0.967 0.406 0.673
```



This entry pairs a crystal structure of LiNi2P2O8 with its simulated X-ray powder pattern. Radiation: copper Kα. Structure: a PBE+U-relaxed structure.
No peak broadening, texture or thermal motion is included.

Peak list (6 most intense, 10° ≤ 2θ ≤ 80°, most intense first)
d 4.068, 2θ 21.85, rel. 100, hkl 0 1 2; d 2.489, 2θ 36.09, rel. 23, hkl 0 2 0; d 2.505, 2θ 35.85, rel. 12, hkl 4 0 0; d 3.419, 2θ 26.06, rel. 8, hkl 2 0 3; d 2.118, 2θ 42.70, rel. 7, hkl 0 1 6; d 2.124, 2θ 42.55, rel. 6, hkl 2 2 2

Structural model:
```
data_LiNi2P2O8
_chemical_formula_sum 'Li4 Ni8 P8 O32'
_space_group_name_H-M_alt 'P c a 21'
_space_group_IT_number 29
_space_group_name_Hall 'P 2c -2ac'
_cell_length_a 10.018
_cell_length_b 4.978
_cell_length_c 14.030
_cell_angle_alpha 90.00
_cell_angle_beta 90.00
_cell_angle_gamma 90.00
loop_
_atom_site_label
_atom_site_type_symbol
_atom_site_fract_x
_atom_site_fract_y
_atom_site_fract_z
Li1 Li 0.226 0.050 0.000
Ni1 Ni 0.036 0.558 0.001
Ni2 Ni 0.231 0.043 0.250
P1 P 0.025 0.938 0.625
P2 P 0.214 0.554 0.378
O1 O 0.004 0.630 0.610
O2 O 0.041 0.985 0.219
O3 O 0.044 0.923 0.037
O4 O 0.063 0.489 0.394
O5 O 0.175 0.006 0.624
O6 O 0.210 0.438 0.967
O7 O 0.239 0.860 0.377
O8 O 0.246 0.422 0.784
```



This entry pairs a crystal structure of Li4MnV3P8O28 with its simulated X-ray powder pattern. Radiation: copper Kα. Structure: a PBE+U-relaxed structure.
No peak broadening, texture or thermal motion is included.

Peak list (6 most intense, 10° ≤ 2θ ≤ 80°, most intense first)
d 5.227, 2θ 16.96, rel. 100, hkl 1 -1 0; d 5.181, 2θ 17.12, rel. 97, hkl 1 1 0; d 3.086, 2θ 28.93, rel. 69, hkl 2 1 -2; d 3.077, 2θ 29.02, rel. 57, hkl 0 2 -2; d 3.051, 2θ 29.27, rel. 56, hkl 0 2 2; d 3.972, 2θ 22.39, rel. 47, hkl 0 1 2

Structural model:
```
data_Li4MnV3P8O28
_chemical_formula_sum 'Li4 Mn1 V3 P8 O28'
_space_group_name_H-M_alt 'P 1'
_space_group_IT_number 1
_space_group_name_Hall 'P 1'
_cell_length_a 7.165
_cell_length_b 8.298
_cell_length_c 9.747
_cell_angle_alpha 90.31
_cell_angle_beta 111.17
_cell_angle_gamma 90.38
loop_
_atom_site_label
_atom_site_type_symbol
_atom_site_fract_x
_atom_site_fract_y
_atom_site_fract_z
Li1 Li 0.000 0.000 0.000
Li2 Li 0.000 0.001 0.502
Li3 Li 0.650 0.499 0.502
Li4 Li 0.651 0.499 0.003
Mn1 Mn 0.594 0.137 0.493
V1 V 0.053 0.638 0.007
V2 V 0.053 0.638 0.508
V3 V 0.597 0.138 0.995
P1 P 0.239 0.426 0.314
P2 P 0.240 0.422 0.815
P3 P 0.412 0.923 0.188
P4 P 0.413 0.921 0.688
P5 P 0.804 0.819 0.190
P6 P 0.807 0.819 0.692
P7 P 0.847 0.317 0.812
P8 P 0.848 0.317 0.312
O1 O 0.078 0.291 0.830
O2 O 0.079 0.292 0.329
O3 O 0.172 0.465 0.150
O4 O 0.177 0.463 0.652
O5 O 0.211 0.835 0.127
O6 O 0.213 0.833 0.629
O7 O 0.238 0.575 0.408
O8 O 0.242 0.572 0.909
O9 O 0.410 0.072 0.594
O10 O 0.411 0.072 0.096
O11 O 0.439 0.335 0.875
O12 O 0.440 0.343 0.371
O13 O 0.470 0.963 0.352
O14 O 0.474 0.963 0.851
O15 O 0.572 0.792 0.173
O16 O 0.575 0.793 0.672
O17 O 0.717 0.315 0.646
O18 O 0.721 0.315 0.147
O19 O 0.807 0.174 0.398
O20 O 0.807 0.176 0.899
O21 O 0.819 0.982 0.122
O22 O 0.831 0.481 0.380
O23 O 0.831 0.980 0.627
O24 O 0.832 0.481 0.880
O25 O 0.842 0.677 0.103
O26 O 0.843 0.674 0.604
O27 O 0.930 0.813 0.857
O28 O 0.930 0.816 0.355
```



What did the fifth record say?
This entry pairs a crystal structure of Li4MnV3P8O28 with its simulated X-ray powder pattern. Radiation: copper Kα. Structure: a PBE+U-relaxed structure.
No peak broadening, texture or thermal motion is included.

Peak list (6 most intense, 10° ≤ 2θ ≤ 80°, most intense first)
d 5.227, 2θ 16.96, rel. 100, hkl 1 -1 0; d 5.181, 2θ 17.12, rel. 97, hkl 1 1 0; d 3.086, 2θ 28.93, rel. 69, hkl 2 1 -2; d 3.077, 2θ 29.02, rel. 57, hkl 0 2 -2; d 3.051, 2θ 29.27, rel. 56, hkl 0 2 2; d 3.972, 2θ 22.39, rel. 47, hkl 0 1 2

Structural model:
```
data_Li4MnV3P8O28
_chemical_formula_sum 'Li4 Mn1 V3 P8 O28'
_space_group_name_H-M_alt 'P 1'
_space_group_IT_number 1
_space_group_name_Hall 'P 1'
_cell_length_a 7.165
_cell_length_b 8.298
_cell_length_c 9.747
_cell_angle_alpha 90.31
_cell_angle_beta 111.17
_cell_angle_gamma 90.38
loop_
_atom_site_label
_atom_site_type_symbol
_atom_site_fract_x
_atom_site_fract_y
_atom_site_fract_z
Li1 Li 0.000 0.000 0.000
Li2 Li 0.000 0.001 0.502
Li3 Li 0.650 0.499 0.502
Li4 Li 0.651 0.499 0.003
Mn1 Mn 0.594 0.137 0.493
V1 V 0.053 0.638 0.007
V2 V 0.053 0.638 0.508
V3 V 0.597 0.138 0.995
P1 P 0.239 0.426 0.314
P2 P 0.240 0.422 0.815
P3 P 0.412 0.923 0.188
P4 P 0.413 0.921 0.688
P5 P 0.804 0.819 0.190
P6 P 0.807 0.819 0.692
P7 P 0.847 0.317 0.812
P8 P 0.848 0.317 0.312
O1 O 0.078 0.291 0.830
O2 O 0.079 0.292 0.329
O3 O 0.172 0.465 0.150
O4 O 0.177 0.463 0.652
O5 O 0.211 0.835 0.127
O6 O 0.213 0.833 0.629
O7 O 0.238 0.575 0.408
O8 O 0.242 0.572 0.909
O9 O 0.410 0.072 0.594
O10 O 0.411 0.072 0.096
O11 O 0.439 0.335 0.875
O12 O 0.440 0.343 0.371
O13 O 0.470 0.963 0.352
O14 O 0.474 0.963 0.851
O15 O 0.572 0.792 0.173
O16 O 0.575 0.793 0.672
O17 O 0.717 0.315 0.646
O18 O 0.721 0.315 0.147
O19 O 0.807 0.174 0.398
O20 O 0.807 0.176 0.899
O21 O 0.819 0.982 0.122
O22 O 0.831 0.481 0.380
O23 O 0.831 0.980 0.627
O24 O 0.832 0.481 0.880
O25 O 0.842 0.677 0.103
O26 O 0.843 0.674 0.604
O27 O 0.930 0.813 0.857
O28 O 0.930 0.816 0.355
```



Copy entry 4 word for word.
This entry pairs a crystal structure of LiNi2P2O8 with its simulated X-ray powder pattern. Radiation: copper Kα. Structure: a PBE+U-relaxed structure.
No peak broadening, texture or thermal motion is included.

Peak list (6 most intense, 10° ≤ 2θ ≤ 80°, most intense first)
d 4.068, 2θ 21.85, rel. 100, hkl 0 1 2; d 2.489, 2θ 36.09, rel. 23, hkl 0 2 0; d 2.505, 2θ 35.85, rel. 12, hkl 4 0 0; d 3.419, 2θ 26.06, rel. 8, hkl 2 0 3; d 2.118, 2θ 42.70, rel. 7, hkl 0 1 6; d 2.124, 2θ 42.55, rel. 6, hkl 2 2 2

Structural model:
```
data_LiNi2P2O8
_chemical_formula_sum 'Li4 Ni8 P8 O32'
_space_group_name_H-M_alt 'P c a 21'
_space_group_IT_number 29
_space_group_name_Hall 'P 2c -2ac'
_cell_length_a 10.018
_cell_length_b 4.978
_cell_length_c 14.030
_cell_angle_alpha 90.00
_cell_angle_beta 90.00
_cell_angle_gamma 90.00
loop_
_atom_site_label
_atom_site_type_symbol
_atom_site_fract_x
_atom_site_fract_y
_atom_site_fract_z
Li1 Li 0.226 0.050 0.000
Ni1 Ni 0.036 0.558 0.001
Ni2 Ni 0.231 0.043 0.250
P1 P 0.025 0.938 0.625
P2 P 0.214 0.554 0.378
O1 O 0.004 0.630 0.610
O2 O 0.041 0.985 0.219
O3 O 0.044 0.923 0.037
O4 O 0.063 0.489 0.394
O5 O 0.175 0.006 0.624
O6 O 0.210 0.438 0.967
O7 O 0.239 0.860 0.377
O8 O 0.246 0.422 0.784
```